# Cs2Li2CoO4
Calculated X-ray powder pattern, Cu Kα, 1.54184 Å. Input: a crystal structure in OQMD, relaxed with PBE+U.
Kinematic intensities with the Lorentz-polarization factor, no thermal factor.

Atomic structure:
```
data_Cs2Li2CoO4
_chemical_formula_sum 'Cs4 Li4 Co2 O8'
_cell_length_a 5.710
_cell_length_b 5.829
_cell_length_c 9.180
_cell_angle_alpha 83.97
_cell_angle_beta 74.74
_cell_angle_gamma 87.06
_symmetry_space_group_name_H-M 'P -1'
_symmetry_Int_Tables_number 2
loop_
_symmetry_equiv_pos_as_xyz
'x,y,z'
'-x,-y,-z'
loop_
_atom_site_label
_atom_site_type_symbol
_atom_site_fract_x
_atom_site_fract_y
_atom_site_fract_z
Cs1 Cs 0.013 0.152 0.284
Cs2 Cs 0.284 0.724 0.022
Li1 Li 0.199 0.590 0.420
Li2 Li 0.419 0.187 0.447
Co1 Co 0.361 0.316 0.713
O1 O 0.136 0.354 0.601
O2 O 0.235 0.204 0.902
O3 O 0.398 0.867 0.398
O4 O 0.478 0.427 0.283
```

Top 12 peaks for 10° ≤ 2θ ≤ 80°, in order of rising 2θ:
h k l, d/Å, I_rel
0 0 1, 8.817, 32.7
1 1 0, 4.042, 37.4
-1 1 1, 3.449, 92.6
1 1 -1, 3.362, 100.0
1 -1 2, 3.134, 73.4
0 0 3, 2.939, 50.5
0 2 0, 2.898, 36.9
2 0 1, 2.847, 31.1
0 2 1, 2.834, 50.7
-1 1 2, 2.777, 40.1
1 1 3, 2.733, 59.8
2 0 2, 2.667, 29.6